1.
Theoretical powder diffractogram
Compound: Zr2SeS2
Radiation: a wavelength of 1.5418 Å
Structure: DFT lattice parameters and positions (GGA-PBE)
No peak broadening, texture or thermal motion is included.

Structure:
Lattice parameters (Å, degrees): 6.4031 6.4031 6.4061 100.22 100.22 119.56
Fractional positions:
Zr 0.1507 0.3240 0.0026
Zr 0.3240 0.1507 0.5026
Zr 0.6760 0.8493 0.4974
Zr 0.8493 0.6760 0.9974
Se 0.4030 0.5970 0.7500
Se 0.5970 0.4030 0.2500
S 0.0891 0.9109 0.7500
S 0.2521 0.7479 0.2500
S 0.7479 0.2521 0.7500
S 0.9109 0.0891 0.2500

Top 10 peaks for 2θ from 10° to 90°, most intense first:
| 2θ (°) | d/Å | I_rel |
| --- | --- | --- |
| 34.5 | 2.597 | 100 |
| 33.9 | 2.643 | 58 |
| 49.4 | 1.847 | 51 |
| 49.1 | 1.856 | 34 |
| 25.7 | 3.472 | 32 |
| 16.0 | 5.533 | 28 |
| 18.6 | 4.768 | 21 |
| 32.4 | 2.764 | 19 |
| 49.9 | 1.828 | 17 |
| 61.3 | 1.512 | 17 |


2.
Theoretical powder diffractogram
Compound: Rb4Tl5Au6
Radiation: a wavelength of 1.5418 Å
Structure: DFT lattice parameters and positions (GGA-PBE)
No peak broadening, texture or thermal motion is included.

Structure:
Lattice parameters (Å, degrees): 11.5103 11.5103 18.2777 90.00 90.00 155.13
Fractional positions:
Rb 0.0012 0.9988 0.5000
Rb 0.0265 0.9735 0.2675
Rb 0.1701 0.8299 0.8026
Rb 0.1815 0.8185 0.4362
Rb 0.8185 0.1815 0.9362
Rb 0.8299 0.1701 0.3026
Rb 0.9735 0.0265 0.7675
Rb 0.9988 0.0012 0.0000
Tl 0.1358 0.8642 0.1179
Tl 0.2989 0.7011 0.1080
Tl 0.3442 0.6558 0.7643
Tl 0.3608 0.6392 0.4763
Tl 0.4362 0.5638 0.1790
Tl 0.5638 0.4362 0.6790
Tl 0.6392 0.3608 0.9763
Tl 0.6558 0.3442 0.2643
Tl 0.7011 0.2989 0.6080
Tl 0.8642 0.1358 0.6179
Au 0.1244 0.8756 0.6233
Au 0.2100 0.7900 0.9879
Au 0.2209 0.7791 0.2398
Au 0.4320 0.5680 0.8827
Au 0.4364 0.5636 0.6324
Au 0.4429 0.5571 0.3511
Au 0.5571 0.4429 0.8511
Au 0.5636 0.4364 0.1324
Au 0.5680 0.4320 0.3827
Au 0.7791 0.2209 0.7398
Au 0.7900 0.2100 0.4879
Au 0.8756 0.1244 0.1233

Top 10 peaks for 2θ from 10° to 90°, most intense first:
| 2θ (°) | d/Å | I_rel |
| --- | --- | --- |
| 38.8 | 2.321 | 100 |
| 36.2 | 2.478 | 76 |
| 30.6 | 2.922 | 62 |
| 29.1 | 3.065 | 47 |
| 33.3 | 2.692 | 45 |
| 21.5 | 4.132 | 37 |
| 40.9 | 2.208 | 35 |
| 40.4 | 2.230 | 34 |
| 26.8 | 3.326 | 33 |
| 34.7 | 2.582 | 28 |


3.
Theoretical powder diffractogram
Compound: Ac2RuO
Radiation: a wavelength of 1.5418 Å
Structure: DFT lattice parameters and positions (GGA-PBE)
No peak broadening, texture or thermal motion is included.

Structure:
Lattice parameters (Å, degrees): 3.9465 3.9465 21.5310 90.00 90.00 120.00
Fractional positions:
Ac 0.0000 0.0000 0.2416
Ac 0.0000 0.0000 0.7584
Ac 0.3333 0.6667 0.4251
Ac 0.3333 0.6667 0.9082
Ac 0.6667 0.3333 0.0918
Ac 0.6667 0.3333 0.5749
Ru 0.0000 0.0000 0.0000
Ru 0.3333 0.6667 0.6667
Ru 0.6667 0.3333 0.3333
O 0.0000 0.0000 0.5000
O 0.3333 0.6667 0.1667
O 0.6667 0.3333 0.8333

Top 10 peaks for 2θ from 10° to 90°, most intense first:
| 2θ (°) | d/Å | I_rel |
| --- | --- | --- |
| 31.0 | 2.885 | 100 |
| 27.4 | 3.258 | 45 |
| 42.8 | 2.114 | 37 |
| 46.0 | 1.973 | 35 |
| 56.5 | 1.629 | 19 |
| 24.8 | 3.589 | 17 |
| 75.7 | 1.256 | 16 |
| 53.0 | 1.729 | 14 |
| 71.0 | 1.328 | 14 |
| 82.9 | 1.165 | 11 |


4.
Theoretical powder diffractogram
Compound: SrTl2ZnBr6
Radiation: a wavelength of 1.5418 Å
Structure: DFT lattice parameters and positions (GGA-PBE)
No peak broadening, texture or thermal motion is included.

Structure:
Lattice parameters (Å, degrees): 7.8843 7.8843 7.8843 59.84 59.84 59.84
Fractional positions:
Sr 0.0000 0.0000 0.0000
Tl 0.2794 0.2794 0.2794
Tl 0.7772 0.7772 0.7772
Zn 0.4999 0.4999 0.4999
Br 0.1823 0.7152 0.3469
Br 0.2584 0.6502 0.8084
Br 0.3469 0.1823 0.7152
Br 0.6502 0.8084 0.2584
Br 0.7152 0.3469 0.1823
Br 0.8084 0.2584 0.6502

Top 10 peaks for 2θ from 10° to 90°, most intense first:
| 2θ (°) | d/Å | I_rel |
| --- | --- | --- |
| 22.6 | 3.938 | 100 |
| 32.1 | 2.784 | 85 |
| 27.7 | 3.215 | 77 |
| 39.6 | 2.274 | 53 |
| 36.0 | 2.492 | 43 |
| 62.4 | 1.487 | 40 |
| 26.6 | 3.357 | 39 |
| 39.7 | 2.271 | 34 |
| 51.9 | 1.761 | 23 |
| 15.9 | 5.568 | 23 |


5.
Theoretical powder diffractogram
Compound: Tb5Nd6Dy
Radiation: a wavelength of 1.5418 Å
Structure: DFT lattice parameters and positions (GGA-PBE)
No peak broadening, texture or thermal motion is included.

Structure:
Lattice parameters (Å, degrees): 6.2842 6.2842 11.9104 95.03 95.03 119.99
Fractional positions:
Tb 0.0000 0.0000 0.0000
Tb 0.1667 0.8333 0.5000
Tb 0.3333 0.6667 0.0000
Tb 0.6667 0.3333 0.0000
Tb 0.8333 0.1667 0.5000
Nd 0.0835 0.4167 0.2502
Nd 0.2502 0.2502 0.7498
Nd 0.4167 0.0835 0.2502
Nd 0.5833 0.9165 0.7498
Nd 0.7498 0.7498 0.2502
Nd 0.9165 0.5833 0.7498
Dy 0.5000 0.5000 0.5000

Top 10 peaks for 2θ from 10° to 90°, most intense first:
| 2θ (°) | d/Å | I_rel |
| --- | --- | --- |
| 30.2 | 2.959 | 100 |
| 35.1 | 2.557 | 67 |
| 30.5 | 2.931 | 33 |
| 60.0 | 1.543 | 29 |
| 50.3 | 1.814 | 24 |
| 50.7 | 1.801 | 24 |
| 59.8 | 1.547 | 14 |
| 60.3 | 1.535 | 14 |
| 62.8 | 1.479 | 12 |
| 81.8 | 1.177 | 12 |


6.
Theoretical powder diffractogram
Compound: Tb11Tl9Cd4
Radiation: a wavelength of 1.5418 Å
Structure: DFT lattice parameters and positions (GGA-PBE)
No peak broadening, texture or thermal motion is included.

Structure:
Lattice parameters (Å, degrees): 13.6994 13.6994 3.7377 90.00 90.00 110.79
Fractional positions:
Tb 0.0000 0.0000 0.0000
Tb 0.0647 0.4096 0.0000
Tb 0.1751 0.8249 0.0000
Tb 0.2455 0.2455 0.0000
Tb 0.3624 0.6376 0.0000
Tb 0.4096 0.0647 0.0000
Tb 0.5904 0.9353 0.0000
Tb 0.6376 0.3624 0.0000
Tb 0.7545 0.7545 0.0000
Tb 0.8249 0.1751 0.0000
Tb 0.9353 0.5904 0.0000
Tl 0.0332 0.2061 0.5000
Tl 0.1512 0.6194 0.5000
Tl 0.2061 0.0332 0.5000
Tl 0.3806 0.8488 0.5000
Tl 0.5000 0.5000 0.5000
Tl 0.6194 0.1512 0.5000
Tl 0.7939 0.9668 0.5000
Tl 0.8488 0.3806 0.5000
Tl 0.9668 0.7939 0.5000
Cd 0.2596 0.4374 0.5000
Cd 0.4374 0.2596 0.5000
Cd 0.5626 0.7404 0.5000
Cd 0.7404 0.5626 0.5000

Top 10 peaks for 2θ from 10° to 90°, most intense first:
| 2θ (°) | d/Å | I_rel |
| --- | --- | --- |
| 33.2 | 2.699 | 100 |
| 33.8 | 2.650 | 43 |
| 60.2 | 1.537 | 19 |
| 31.6 | 2.830 | 16 |
| 58.9 | 1.568 | 12 |
| 48.7 | 1.869 | 11 |
| 59.4 | 1.557 | 10 |
| 46.7 | 1.945 | 9 |
| 60.0 | 1.542 | 9 |
| 35.0 | 2.561 | 8 |


7.
Theoretical powder diffractogram
Compound: Mg2FeNi
Radiation: a wavelength of 1.5418 Å
Structure: DFT lattice parameters and positions (GGA-PBE)
No peak broadening, texture or thermal motion is included.

Structure:
Lattice parameters (Å, degrees): 2.9746 2.9746 7.1500 90.00 90.00 90.00
Fractional positions:
Mg 0.0000 0.0000 0.0000
Mg 0.5000 0.5000 0.3414
Fe 0.5000 0.5000 0.7502
Ni 0.0000 0.0000 0.5775

Top 10 peaks for 2θ from 10° to 90°, most intense first:
| 2θ (°) | d/Å | I_rel |
| --- | --- | --- |
| 12.4 | 7.150 | 100 |
| 39.4 | 2.287 | 80 |
| 43.0 | 2.103 | 40 |
| 49.0 | 1.860 | 29 |
| 76.4 | 1.247 | 20 |
| 44.9 | 2.018 | 15 |
| 62.4 | 1.487 | 12 |
| 83.2 | 1.162 | 11 |
| 81.4 | 1.183 | 7 |
| 63.9 | 1.456 | 5 |


8.
Theoretical powder diffractogram
Compound: PmAgTeSe
Radiation: a wavelength of 1.5418 Å
Structure: DFT lattice parameters and positions (GGA-PBE)
No peak broadening, texture or thermal motion is included.

Structure:
Lattice parameters (Å, degrees): 12.1971 12.1971 12.1971 22.36 22.36 22.36
Fractional positions:
Pm 0.1115 0.1115 0.1115
Pm 0.8885 0.8885 0.8885
Ag 0.3077 0.3077 0.3077
Ag 0.6923 0.6923 0.6923
Te 0.3887 0.3887 0.3887
Te 0.6113 0.6113 0.6113
Se 0.1965 0.1965 0.1965
Se 0.8035 0.8035 0.8035

Top 10 peaks for 2θ from 10° to 90°, most intense first:
| 2θ (°) | d/Å | I_rel |
| --- | --- | --- |
| 38.1 | 2.365 | 100 |
| 33.3 | 2.690 | 98 |
| 23.9 | 3.722 | 79 |
| 41.8 | 2.163 | 30 |
| 51.5 | 1.776 | 28 |
| 65.8 | 1.420 | 26 |
| 49.2 | 1.850 | 24 |
| 22.3 | 3.992 | 19 |
| 68.8 | 1.365 | 17 |
| 30.1 | 2.972 | 16 |


9.
Theoretical powder diffractogram
Compound: Pm2Nd6Dy5
Radiation: a wavelength of 1.5418 Å
Structure: DFT lattice parameters and positions (GGA-PBE)
No peak broadening, texture or thermal motion is included.

Structure:
Lattice parameters (Å, degrees): 11.8356 20.6231 3.6509 90.00 90.00 90.00
Fractional positions:
Pm 0.1676 0.2143 0.0000
Pm 0.3324 0.7143 0.0000
Pm 0.6676 0.2857 0.0000
Pm 0.8324 0.7857 0.0000
Nd 0.0595 0.9220 0.0000
Nd 0.0801 0.6344 0.0000
Nd 0.1769 0.3706 0.5000
Nd 0.3231 0.8706 0.5000
Nd 0.4199 0.1344 0.0000
Nd 0.4405 0.4220 0.0000
Nd 0.5595 0.5780 0.0000
Nd 0.5801 0.8656 0.0000
Nd 0.6769 0.1294 0.5000
Nd 0.8231 0.6294 0.5000
Nd 0.9199 0.3656 0.0000
Nd 0.9405 0.0780 0.0000
Dy 0.0000 0.5000 0.5000
Dy 0.0922 0.7765 0.5000
Dy 0.1992 0.0558 0.5000
Dy 0.3008 0.5558 0.5000
Dy 0.4078 0.2765 0.5000
Dy 0.5000 0.0000 0.5000
Dy 0.5922 0.7235 0.5000
Dy 0.6992 0.4442 0.5000
Dy 0.8008 0.9442 0.5000
Dy 0.9078 0.2235 0.5000

Top 10 peaks for 2θ from 10° to 90°, most intense first:
| 2θ (°) | d/Å | I_rel |
| --- | --- | --- |
| 31.6 | 2.831 | 100 |
| 31.3 | 2.857 | 83 |
| 30.5 | 2.929 | 57 |
| 30.9 | 2.889 | 51 |
| 33.7 | 2.661 | 40 |
| 36.0 | 2.497 | 28 |
| 60.2 | 1.538 | 26 |
| 34.6 | 2.592 | 24 |
| 27.0 | 3.302 | 23 |
| 50.0 | 1.826 | 23 |